Entry 1:
Structure and simulated powder diffractogram of GdDy2S3 (the PBE geometry in OQMD; Cu Kα X-rays).

Cell and atoms:
a b c (Å): 3.9112 3.9112 9.6023
angles (deg): 90.00 90.00 120.00
Space group P-3m1 (No. 164)
One atom of each set of equivalent atoms:
Gd (0.0000, 0.0000, 0.0000) x1
Dy (0.3333, 0.6667, 0.6666) x2
S (0.0000, 0.0000, 0.5000) x1
S (0.3333, 0.6667, 0.1700) x2

Main lines, by angle (2θ = 10–90°):
hkl 1 0 1, 2θ 27.92, I = 81; hkl 0 1 2, 2θ 32.35, I = 100; hkl 1 1 0, 2θ 46.40, I = 72; hkl 1 1 3, 2θ 55.02, I = 40; hkl 2 0 2, 2θ 57.72, I = 19; hkl 0 2 4, 2θ 67.71, I = 12; hkl 2 0 5, 2θ 74.69, I = 8; hkl 1 1 6, 2θ 76.99, I = 16; hkl 1 2 2, 2θ 77.10, I = 16; hkl 3 0 0, 2θ 86.09, I = 19


Entry 2:
Structure and simulated powder diffractogram of GdDySc2Sb2 (the PBE geometry in OQMD; Cu Kα X-rays).

Cell and atoms:
a b c (Å): 4.355 4.355 16.316
angles (deg): 90.00 90.00 90.00
Space group I4mm (No. 107)
One atom of each set of equivalent atoms:
Gd (0.000, 0.000, 0.000) x2
Dy (0.000, 0.000, 0.648) x2
Sc (0.000, 0.500, 0.323) x4
Sb (0.000, 0.000, 0.193) x2
Sb (0.000, 0.000, 0.455) x2

Main lines, by angle (2θ = 10–90°):
hkl 1 1 0, 2θ 28.99, I = 100; hkl 1 1 2, 2θ 31.04, I = 68; hkl 0 0 6, 2θ 32.94, I = 32; hkl 1 0 5, 2θ 34.34, I = 79; hkl 1 1 4, 2θ 36.56, I = 87; hkl 2 0 0, 2θ 41.47, I = 73; hkl 2 0 6, 2θ 53.94, I = 33; hkl 1 0 9, 2θ 54.88, I = 63; hkl 2 1 9, 2θ 71.05, I = 30; hkl 2 1 11, 2θ 81.59, I = 27


Entry 3:
Structure and simulated powder diffractogram of GdDy2Tm (the PBE geometry in OQMD; Cu Kα X-rays).

Cell and atoms:
a b c (Å): 5.622 12.457 7.194
angles (deg): 90.00 90.00 90.00
Space group Ama2 (No. 40)
One atom of each set of equivalent atoms:
Gd (0.250, 0.167, 0.000) x4
Dy (0.250, 0.166, 0.500) x4
Dy (0.250, 0.417, 0.751) x4
Tm (0.250, 0.417, 0.249) x4

Main lines, by angle (2θ = 10–90°):
hkl 0 4 0, 2θ 28.66, I = 24; hkl 2 0 0, 2θ 31.84, I = 24; hkl 1 4 0, 2θ 32.87, I = 100; hkl 2 4 0, 2θ 43.36, I = 16; hkl 0 6 2, 2θ 50.77, I = 20; hkl 3 4 0, 2θ 57.39, I = 21; hkl 2 6 2, 2θ 61.18, I = 23; hkl 1 8 0, 2θ 61.82, I = 16; hkl 1 10 2, 2θ 83.99, I = 14; hkl 4 6 2, 2θ 88.24, I = 9


Entry 4:
Structure and simulated powder diffractogram of GdDyTm2 (the PBE geometry in OQMD; Cu Kα X-rays).

Cell and atoms:
a b c (Å): 5.593 12.415 7.166
angles (deg): 90.00 90.00 90.00
Space group Ama2 (No. 40)
One atom of each set of equivalent atoms:
Gd (0.250, 0.167, 0.000) x4
Dy (0.250, 0.417, 0.249) x4
Tm (0.250, 0.166, 0.500) x4
Tm (0.250, 0.417, 0.751) x4

Main lines, by angle (2θ = 10–90°):
hkl 0 4 0, 2θ 28.77, I = 24; hkl 2 0 0, 2θ 32.00, I = 24; hkl 1 4 0, 2θ 33.01, I = 100; hkl 2 4 0, 2θ 43.56, I = 16; hkl 0 6 2, 2θ 50.97, I = 20; hkl 3 4 0, 2θ 57.68, I = 20; hkl 2 6 2, 2θ 61.46, I = 23; hkl 1 8 0, 2θ 62.07, I = 16; hkl 1 10 2, 2θ 84.37, I = 14; hkl 4 6 2, 2θ 88.75, I = 9


Q: What is the formula in the third record?
A: GdDy2Tm